1.
Theoretical XRD peak list of Ac2Tb7Ho2 for CuKα, from a cell relaxed with GGA-PBE.
Kinematic intensities with the Lorentz-polarization factor, no thermal factor.

Principal peaks in the range 10° ≤ 2θ ≤ 90°, most intense first:
two_theta	d [Å]	intensity
31.5	2.842	100
30.9	2.896	81
32.9	2.721	50
33.2	2.697	28
30.1	2.972	27
44.2	2.048	19
49.3	1.850	16
54.3	1.689	14
24.6	3.626	14
24.8	3.586	13

Crystal structure
Cell: 11.6175 11.5773 6.2247 Å, 90.00 114.21 90.00°
Space group C2/m (No. 12)
Inequivalent atoms, fractional coordinates:
1 Ac 0.0000 0.2127 0.0000 x4
2 Tb 0.0000 0.0000 0.5000 x2
3 Tb 0.0971 0.5000 0.3203 x4
4 Tb 0.1718 0.2330 0.6605 x8
5 Ho 0.2487 0.5000 0.9235 x4


2.
Theoretical XRD peak list of AcTb3Ho7 for CuKα, from a cell relaxed with GGA-PBE.
Kinematic intensities with the Lorentz-polarization factor, no thermal factor.

Principal peaks in the range 10° ≤ 2θ ≤ 90°, most intense first:
two_theta	d [Å]	intensity
31.4	2.851	100
32.0	2.799	91
32.9	2.719	73
32.1	2.788	70
31.1	2.872	29
57.1	1.612	23
32.6	2.748	22
59.3	1.557	19
62.7	1.481	18
57.8	1.596	17

Crystal structure
Cell: 6.9963 5.5765 9.8551 Å, 90.00 108.53 90.00°
Space group P2/m (No. 10)
Inequivalent atoms, fractional coordinates:
1 Ac 0.0000 0.0000 0.0000 x1
2 Tb 0.2762 0.5000 0.4931 x2
3 Tb 0.5000 0.0000 0.0000 x1
4 Ho 0.0000 0.0000 0.5000 x1
5 Ho 0.1476 0.5000 0.7883 x2
6 Ho 0.3315 0.5000 0.1443 x2
7 Ho 0.4348 0.0000 0.3328 x2


3.
Theoretical XRD peak list of AcTb3Ho2 for CuKα, from a cell relaxed with GGA-PBE.
Kinematic intensities with the Lorentz-polarization factor, no thermal factor.

Principal peaks in the range 10° ≤ 2θ ≤ 90°, most intense first:
two_theta	d [Å]	intensity
32.1	2.789	100
31.9	2.806	70
30.9	2.896	49
32.5	2.756	31
27.9	3.196	30
60.1	1.538	26
49.9	1.829	26
28.3	3.154	18
59.2	1.561	16
55.8	1.648	15

Crystal structure
Cell: 22.0655 3.7070 11.5838 Å, 90.00 120.94 90.00°
Space group C2/m (No. 12)
Inequivalent atoms, fractional coordinates:
1 Ac 0.1085 0.0000 0.4855 x4
2 Tb 0.0548 0.5000 0.1743 x4
3 Tb 0.1126 0.0000 0.9898 x4
4 Tb 0.2210 0.0000 0.3424 x4
5 Ho 0.0616 0.5000 0.6991 x4
6 Ho 0.2244 0.0000 0.8538 x4


4.
Theoretical XRD peak list of Ac2Tb4Ho7 for CuKα, from a cell relaxed with GGA-PBE.
Kinematic intensities with the Lorentz-polarization factor, no thermal factor.

Principal peaks in the range 10° ≤ 2θ ≤ 90°, most intense first:
two_theta	d [Å]	intensity
32.0	2.800	100
29.8	3.003	37
35.4	2.538	33
51.4	1.779	29
26.5	3.360	22
50.4	1.812	18
29.0	3.081	17
61.8	1.501	15
58.7	1.572	14
31.5	2.843	14

Crystal structure
Cell: 6.1612 6.1612 13.4396 Å, 90.00 90.00 120.00°
Space group P-31m (No. 162)
Inequivalent atoms, fractional coordinates:
1 Ac 0.3333 0.6667 0.0000 x2
2 Tb 0.0000 0.0000 0.3959 x2
3 Tb 0.3333 0.6667 0.5000 x2
4 Ho 0.0000 0.0000 0.0000 x1
5 Ho 0.0000 0.3523 0.7804 x6


5.
Theoretical XRD peak list of Ac3Tb8Ho for CuKα, from a cell relaxed with GGA-PBE.
Kinematic intensities with the Lorentz-polarization factor, no thermal factor.

Principal peaks in the range 10° ≤ 2θ ≤ 90°, most intense first:
two_theta	d [Å]	intensity
30.6	2.920	100
30.9	2.895	50
31.4	2.848	39
21.8	4.071	31
35.0	2.567	29
31.2	2.863	26
50.3	1.813	25
63.8	1.460	24
54.8	1.676	20
44.5	2.036	20

Crystal structure
Cell: 6.5413 11.5789 11.8497 Å, 90.00 90.00 90.00°
Space group Immm (No. 71)
Inequivalent atoms, fractional coordinates:
1 Ac 0.0000 0.0000 0.0000 x2
2 Ac 0.0000 0.2444 0.5000 x4
3 Tb 0.0000 0.2521 0.1742 x8
4 Tb 0.2455 0.0000 0.2625 x8
5 Ho 0.0000 0.5000 0.0000 x2


6.
Theoretical XRD peak list of Ac4TbHo2 for CuKα, from a cell relaxed with GGA-PBE.
Kinematic intensities with the Lorentz-polarization factor, no thermal factor.

Principal peaks in the range 10° ≤ 2θ ≤ 90°, most intense first:
two_theta	d [Å]	intensity
28.8	3.104	100
30.0	2.975	71
28.8	3.099	55
30.4	2.942	42
30.9	2.897	33
35.1	2.559	29
48.3	1.885	25
57.7	1.597	17
41.7	2.168	17
52.4	1.747	16

Crystal structure
Cell: 6.7164 12.8293 13.1444 Å, 90.00 104.78 90.00°
Space group Cc (No. 9)
Inequivalent atoms, fractional coordinates:
1 Ac 0.0000 0.0593 0.0000 x4
2 Ac 0.0535 0.4252 0.6517 x4
3 Ac 0.1947 0.3233 0.9294 x4
4 Ac 0.2922 0.1905 0.5815 x4
5 Tb 0.1259 0.1249 0.2909 x4
6 Ho 0.3835 0.3517 0.2249 x4
7 Ho 0.4495 0.1005 0.8558 x4


7.
Theoretical XRD peak list of Ac2Tb3Ho3 for CuKα, from a cell relaxed with GGA-PBE.
Kinematic intensities with the Lorentz-polarization factor, no thermal factor.

Principal peaks in the range 10° ≤ 2θ ≤ 90°, most intense first:
two_theta	d [Å]	intensity
28.8	3.097	100
32.3	2.771	65
31.9	2.808	52
30.7	2.917	43
57.6	1.600	35
43.9	2.064	29
56.6	1.625	20
35.1	2.555	17
48.7	1.871	16
77.9	1.227	16

Crystal structure
Cell: 3.7414 17.4903 17.5189 Å, 90.00 90.00 90.00°
Space group Cmcm (No. 63)
Inequivalent atoms, fractional coordinates:
1 Ac 0.0000 0.2485 0.1052 x8
2 Tb 0.0000 0.0913 0.5410 x8
3 Tb 0.0000 0.1168 0.2500 x4
4 Ho 0.0000 0.0871 0.7500 x4
5 Ho 0.0000 0.4552 0.6179 x8


8.
Theoretical XRD peak list of Ac6TbHo2 for CuKα, from a cell relaxed with GGA-PBE.
Kinematic intensities with the Lorentz-polarization factor, no thermal factor.

Principal peaks in the range 10° ≤ 2θ ≤ 90°, most intense first:
two_theta	d [Å]	intensity
28.4	3.147	100
29.7	3.008	57
30.0	2.980	55
29.8	2.994	37
22.6	3.937	34
26.1	3.419	29
27.2	3.279	28
32.4	2.761	23
56.5	1.629	22
32.0	2.794	21

Crystal structure
Cell: 15.9759 9.4636 10.0348 Å, 90.00 99.71 90.00°
Space group C2/c (No. 15)
Inequivalent atoms, fractional coordinates:
1 Ac 0.1009 0.1925 0.1241 x8
2 Ac 0.1193 0.4341 0.8325 x8
3 Ac 0.1351 0.2204 0.5163 x8
4 Tb 0.0000 0.1029 0.7500 x4
5 Ho 0.2181 0.0785 0.8501 x8